(1)
Cs2B2S5: calculated powder diffractogram (copper Kα), based on the PBE geometry in Alexandria.
Peak positions follow from Bragg's law for the DFT cell and can differ from measured ones.

Atomic structure:
Cell: 7.0539 7.0539 8.2458 Å, 93.39 93.39 39.14°
Element x y z (fractional)
Cs: 0.1040 0.1040 0.3115
Cs: 0.8960 0.8960 0.6885
B: 0.3813 0.3813 0.1195
B: 0.6187 0.6187 0.8805
S: 0.2659 0.2659 0.9749
S: 0.3843 0.3843 0.3298
S: 0.5000 0.5000 0.0000
S: 0.6157 0.6157 0.6702
S: 0.7341 0.7341 0.0251

Largest 10 diffraction maxima, sorted by position, 10 to 80 degrees two-theta:
2θ/deg, I (rel.)
17.69, 424
22.91, 805
28.37, 253
29.24, 1000
30.19, 368
32.64, 288
35.83, 208
38.08, 242
38.93, 239
53.93, 211

***

(2)
CsB2S4: calculated powder diffractogram (copper Kα), based on the PBE geometry in Alexandria.
Peak positions follow from Bragg's law for the DFT cell and can differ from measured ones.

Atomic structure:
Cell: 9.5796 9.5796 10.2922 Å, 94.07 94.07 147.91°
Element x y z (fractional)
Cs: 0.0000 0.0000 0.0000
Cs: 0.7521 0.2479 0.5000
B: 0.3203 0.1001 0.7228
B: 0.3462 0.6253 0.7758
B: 0.3747 0.6538 0.2242
B: 0.8999 0.6797 0.2772
S: 0.0030 0.8236 0.6226
S: 0.1271 0.4486 0.8747
S: 0.1764 0.9970 0.3774
S: 0.1988 0.4352 0.3206
S: 0.5514 0.8729 0.1253
S: 0.5648 0.8012 0.6794
S: 0.6269 0.3656 0.1802
S: 0.6344 0.3731 0.8198

Largest 10 diffraction maxima, sorted by position, 10 to 80 degrees two-theta:
2θ/deg, I (rel.)
13.10, 908
17.99, 357
22.62, 1000
25.97, 419
26.38, 568
28.48, 762
28.62, 321
30.48, 375
32.55, 347
36.20, 214

***

(3)
Cs4B9S9: calculated powder diffractogram (copper Kα), based on the PBE geometry in Alexandria.
Peak positions follow from Bragg's law for the DFT cell and can differ from measured ones.

Atomic structure:
Cell: 10.5849 10.5970 11.1810 Å, 92.22 104.13 110.36°
Element x y z (fractional)
Cs: 0.1164 0.3731 0.1299
Cs: 0.1515 0.0133 0.3753
Cs: 0.2496 0.6253 0.4718
Cs: 0.3054 0.3824 0.7664
Cs: 0.6946 0.6176 0.2336
Cs: 0.7504 0.3747 0.5282
Cs: 0.8485 0.9867 0.6247
Cs: 0.8836 0.6269 0.8701
B: 0.1464 0.8228 0.6992
B: 0.1783 0.7728 0.1408
B: 0.3385 0.9687 0.0182
B: 0.3700 0.8592 0.9156
B: 0.3793 0.0230 0.8778
B: 0.4357 0.2596 0.2441
B: 0.4373 0.8686 0.0804
B: 0.4564 0.1385 0.0213
B: 0.4918 0.0424 0.1432
B: 0.5082 0.9576 0.8568
B: 0.5436 0.8615 0.9787
B: 0.5627 0.1314 0.9196
B: 0.5643 0.7404 0.7559
B: 0.6207 0.9770 0.1222
B: 0.6300 0.1408 0.0844
B: 0.6615 0.0313 0.9818
B: 0.8217 0.2272 0.8592
B: 0.8536 0.1772 0.3008
S: 0.0013 0.2544 0.4317
S: 0.0385 0.6738 0.1991
S: 0.1659 0.9148 0.0540
S: 0.2197 0.7202 0.8054
S: 0.2343 0.0108 0.7370
S: 0.3406 0.7353 0.1643
S: 0.4166 0.2853 0.0777
S: 0.4191 0.3748 0.3526
S: 0.4770 0.1108 0.2931
S: 0.5230 0.8892 0.7069
S: 0.5809 0.6252 0.6474
S: 0.5834 0.7147 0.9223
S: 0.6594 0.2647 0.8357
S: 0.7657 0.9892 0.2630
S: 0.7803 0.2798 0.1946
S: 0.8341 0.0852 0.9460
S: 0.9615 0.3262 0.8009
S: 0.9987 0.7456 0.5683

Largest 10 diffraction maxima, sorted by position, 10 to 80 degrees two-theta:
2θ/deg, I (rel.)
18.15, 489
18.30, 373
18.95, 1000
25.29, 593
25.45, 469
26.69, 311
27.19, 897
28.94, 404
29.04, 420
30.94, 338

***

(4)
Cs3TlB2S6: calculated powder diffractogram (copper Kα), based on the PBE geometry in Alexandria.
Peak positions follow from Bragg's law for the DFT cell and can differ from measured ones.

Atomic structure:
Cell: 7.0872 7.0872 9.5778 Å, 90.00 90.00 120.00°
Element x y z (fractional)
Cs: 0.0000 0.0000 0.0000
Cs: 0.3333 0.6667 0.6563
Cs: 0.6667 0.3333 0.3437
Tl: 0.0000 0.0000 0.5000
B: 0.3333 0.6667 0.2969
B: 0.6667 0.3333 0.7031
S: 0.1850 0.3701 0.2891
S: 0.1850 0.8150 0.2891
S: 0.3701 0.1850 0.7109
S: 0.6299 0.8150 0.2891
S: 0.8150 0.1850 0.7109
S: 0.8150 0.6299 0.7109

Largest 10 diffraction maxima, sorted by position, 10 to 80 degrees two-theta:
2θ/deg, I (rel.)
14.43, 342
23.56, 1000
25.13, 747
30.59, 342
31.40, 202
34.72, 641
40.44, 263
43.34, 316
51.58, 201
55.12, 263

***

(5)
Cs2TmBS4: calculated powder diffractogram (copper Kα), based on the PBE geometry in Alexandria.
Peak positions follow from Bragg's law for the DFT cell and can differ from measured ones.

Atomic structure:
Cell: 14.7287 13.1212 7.8486 Å, 85.31 62.61 32.08°
Element x y z (fractional)
Cs: 0.0517 0.0517 0.6983
Cs: 0.3017 0.3017 0.9483
Cs: 0.6983 0.6983 0.0517
Cs: 0.9483 0.9483 0.3017
Tm: 0.1250 0.1250 0.1250
Tm: 0.8750 0.8750 0.8750
B: 0.3750 0.3750 0.3750
B: 0.6250 0.6250 0.6250
S: 0.0643 0.5924 0.5206
S: 0.3227 0.5206 0.5924
S: 0.4076 0.9357 0.6773
S: 0.4794 0.6773 0.9357
S: 0.5206 0.3227 0.0643
S: 0.5924 0.0643 0.3227
S: 0.6773 0.4794 0.4076
S: 0.9357 0.4076 0.4794

Largest 10 diffraction maxima, sorted by position, 10 to 80 degrees two-theta:
2θ/deg, I (rel.)
13.84, 190
16.80, 369
23.97, 313
24.16, 1000
24.41, 255
29.65, 516
33.23, 259
37.49, 227
42.30, 182
45.25, 238

***

(6)
Cs3B3Se10: calculated powder diffractogram (copper Kα), based on the PBE geometry in Alexandria.
Peak positions follow from Bragg's law for the DFT cell and can differ from measured ones.

Atomic structure:
Cell: 7.8806 8.7920 15.5414 Å, 74.35 89.35 78.15°
Element x y z (fractional)
Cs: 0.0410 0.0732 0.2850
Cs: 0.2581 0.4954 0.3595
Cs: 0.3307 0.8299 0.9826
Cs: 0.6693 0.1701 0.0174
Cs: 0.7419 0.5046 0.6405
Cs: 0.9590 0.9268 0.7150
B: 0.1015 0.3954 0.9090
B: 0.2713 0.2990 0.7383
B: 0.3858 0.0978 0.5943
B: 0.6142 0.9022 0.4057
B: 0.7287 0.7010 0.2617
B: 0.8985 0.6046 0.0910
Se: 0.0789 0.2442 0.8299
Se: 0.1389 0.4536 0.1217
Se: 0.1454 0.2530 0.0389
Se: 0.2040 0.2946 0.6109
Se: 0.2357 0.0102 0.5197
Se: 0.2929 0.5333 0.7222
Se: 0.3116 0.5027 0.8793
Se: 0.4244 0.7960 0.4730
Se: 0.4617 0.9369 0.7180
Se: 0.4915 0.8569 0.2168
Se: 0.5085 0.1431 0.7832
Se: 0.5383 0.0631 0.2820
Se: 0.5756 0.2040 0.5270
Se: 0.6884 0.4973 0.1207
Se: 0.7071 0.4667 0.2778
Se: 0.7643 0.9898 0.4803
Se: 0.7960 0.7054 0.3891
Se: 0.8546 0.7470 0.9611
Se: 0.8611 0.5464 0.8783
Se: 0.9211 0.7558 0.1701

Largest 10 diffraction maxima, sorted by position, 10 to 80 degrees two-theta:
2θ/deg, I (rel.)
20.68, 278
22.48, 360
26.52, 338
27.08, 1000
27.50, 994
28.77, 940
31.32, 282
32.60, 261
34.99, 245
36.00, 253

***

(7)
CsBSe2: calculated powder diffractogram (copper Kα), based on the PBE geometry in Alexandria.
Peak positions follow from Bragg's law for the DFT cell and can differ from measured ones.

Atomic structure:
Cell: 6.1729 6.5431 10.4949 Å, 83.81 73.13 62.02°
Element x y z (fractional)
Cs: 0.1136 0.2550 0.2497
Cs: 0.8864 0.7450 0.7503
B: 0.0000 0.0000 0.0000
B: 0.5000 0.5000 0.5000
Se: 0.1718 0.1234 0.8738
Se: 0.3274 0.6334 0.3755
Se: 0.6726 0.3666 0.6245
Se: 0.8282 0.8766 0.1262

Largest 10 diffraction maxima, sorted by position, 10 to 80 degrees two-theta:
2θ/deg, I (rel.)
16.94, 555
17.46, 500
17.67, 377
21.25, 412
27.54, 1000
27.77, 889
27.88, 472
30.30, 705
30.42, 543
37.33, 388

***

(8)
CsBSe2: calculated powder diffractogram (copper Kα), based on the PBE geometry in Alexandria.
Peak positions follow from Bragg's law for the DFT cell and can differ from measured ones.

Atomic structure:
Cell: 11.2086 11.2086 10.0348 Å, 90.00 90.00 90.00°
Element x y z (fractional)
Cs: 0.2468 0.2532 0.2500
Cs: 0.2468 0.2532 0.7500
Cs: 0.2532 0.7532 0.2500
Cs: 0.2532 0.7532 0.7500
Cs: 0.7468 0.2468 0.2500
Cs: 0.7468 0.2468 0.7500
Cs: 0.7532 0.7468 0.2500
Cs: 0.7532 0.7468 0.7500
B: 0.0014 0.8849 0.0000
B: 0.1151 0.0014 0.5000
B: 0.3849 0.5014 0.5000
B: 0.4986 0.3849 0.0000
B: 0.5014 0.6151 0.0000
B: 0.6151 0.4986 0.5000
B: 0.8849 0.9986 0.5000
B: 0.9986 0.1151 0.0000
Se: 0.0016 0.8613 0.5000
Se: 0.0035 0.7165 0.0000
Se: 0.1387 0.0016 0.0000
Se: 0.2165 0.5035 0.5000
Se: 0.2835 0.0035 0.5000
Se: 0.3613 0.5016 0.0000
Se: 0.4965 0.2165 0.0000
Se: 0.4984 0.3613 0.5000
Se: 0.5016 0.6387 0.5000
Se: 0.5035 0.7835 0.0000
Se: 0.6387 0.4984 0.0000
Se: 0.7165 0.9965 0.5000
Se: 0.7835 0.4965 0.5000
Se: 0.8613 0.9984 0.0000
Se: 0.9965 0.2835 0.0000
Se: 0.9984 0.1387 0.5000

Largest 10 diffraction maxima, sorted by position, 10 to 80 degrees two-theta:
2θ/deg, I (rel.)
15.81, 333
23.80, 1000
26.67, 380
28.71, 976
31.94, 312
35.81, 662
36.96, 330
48.72, 191
51.55, 314
54.95, 184

***

(9)
CsBSe: calculated powder diffractogram (copper Kα), based on the PBE geometry in Alexandria.
Peak positions follow from Bragg's law for the DFT cell and can differ from measured ones.

Atomic structure:
Cell: 3.2893 5.3803 10.3352 Å, 83.02 81.12 87.45°
Element x y z (fractional)
Cs: 0.0000 0.0000 0.0000
Cs: 0.3923 0.1095 0.5252
B: 0.4431 0.5541 0.7634
B: 0.9426 0.5551 0.7623
Se: 0.4473 0.4754 0.1773
Se: 0.9448 0.6342 0.3483

Largest 10 diffraction maxima, sorted by position, 10 to 80 degrees two-theta:
2θ/deg, I (rel.)
17.49, 376
17.85, 402
22.74, 489
25.59, 1000
29.59, 243
31.39, 553
33.57, 271
34.43, 292
35.34, 525
37.46, 264

***

(10)
Cs3B2Se4: calculated powder diffractogram (copper Kα), based on the PBE geometry in Alexandria.
Peak positions follow from Bragg's law for the DFT cell and can differ from measured ones.

Atomic structure:
Cell: 8.4228 8.4228 10.6983 Å, 101.47 101.47 76.45°
Element x y z (fractional)
Cs: 0.0455 0.9545 0.7500
Cs: 0.2001 0.4852 0.3331
Cs: 0.4852 0.2001 0.8331
Cs: 0.5148 0.7999 0.1669
Cs: 0.7999 0.5148 0.6669
Cs: 0.9545 0.0455 0.2500
B: 0.0940 0.3478 0.0009
B: 0.3478 0.0940 0.5009
B: 0.6522 0.9060 0.4991
B: 0.9060 0.6522 0.9991
Se: 0.1495 0.5654 0.9887
Se: 0.1526 0.2393 0.5597
Se: 0.2393 0.1526 0.0597
Se: 0.4346 0.8505 0.5113
Se: 0.5654 0.1495 0.4887
Se: 0.7607 0.8474 0.9403
Se: 0.8474 0.7607 0.4403
Se: 0.8505 0.4346 0.0113

Largest 10 diffraction maxima, sorted by position, 10 to 80 degrees two-theta:
2θ/deg, I (rel.)
19.07, 929
24.71, 1000
24.95, 903
25.96, 489
26.42, 609
26.58, 627
28.85, 453
31.28, 407
32.81, 654
34.67, 546

***

(11)
CsBSe2: calculated powder diffractogram (copper Kα), based on the PBE geometry in Alexandria.
Peak positions follow from Bragg's law for the DFT cell and can differ from measured ones.

Atomic structure:
Cell: 7.8375 7.8375 7.2446 Å, 90.49 90.49 122.10°
Element x y z (fractional)
Cs: 0.1392 0.8608 0.7500
Cs: 0.8608 0.1392 0.2500
B: 0.1284 0.8716 0.2500
B: 0.8716 0.1284 0.7500
Se: 0.1168 0.3605 0.7537
Se: 0.3605 0.1168 0.2537
Se: 0.6395 0.8832 0.7463
Se: 0.8832 0.6395 0.2463

Largest 10 diffraction maxima, sorted by position, 10 to 80 degrees two-theta:
2θ/deg, I (rel.)
13.34, 840
17.99, 290
18.26, 318
22.71, 410
24.58, 928
25.98, 810
29.43, 1000
29.78, 977
36.07, 658
47.99, 429

***

What did the eighth record say?
CsBSe2: calculated powder diffractogram (copper Kα), based on the PBE geometry in Alexandria.
Peak positions follow from Bragg's law for the DFT cell and can differ from measured ones.

Atomic structure:
Cell: 11.2086 11.2086 10.0348 Å, 90.00 90.00 90.00°
Element x y z (fractional)
Cs: 0.2468 0.2532 0.2500
Cs: 0.2468 0.2532 0.7500
Cs: 0.2532 0.7532 0.2500
Cs: 0.2532 0.7532 0.7500
Cs: 0.7468 0.2468 0.2500
Cs: 0.7468 0.2468 0.7500
Cs: 0.7532 0.7468 0.2500
Cs: 0.7532 0.7468 0.7500
B: 0.0014 0.8849 0.0000
B: 0.1151 0.0014 0.5000
B: 0.3849 0.5014 0.5000
B: 0.4986 0.3849 0.0000
B: 0.5014 0.6151 0.0000
B: 0.6151 0.4986 0.5000
B: 0.8849 0.9986 0.5000
B: 0.9986 0.1151 0.0000
Se: 0.0016 0.8613 0.5000
Se: 0.0035 0.7165 0.0000
Se: 0.1387 0.0016 0.0000
Se: 0.2165 0.5035 0.5000
Se: 0.2835 0.0035 0.5000
Se: 0.3613 0.5016 0.0000
Se: 0.4965 0.2165 0.0000
Se: 0.4984 0.3613 0.5000
Se: 0.5016 0.6387 0.5000
Se: 0.5035 0.7835 0.0000
Se: 0.6387 0.4984 0.0000
Se: 0.7165 0.9965 0.5000
Se: 0.7835 0.4965 0.5000
Se: 0.8613 0.9984 0.0000
Se: 0.9965 0.2835 0.0000
Se: 0.9984 0.1387 0.5000

Largest 10 diffraction maxima, sorted by position, 10 to 80 degrees two-theta:
2θ/deg, I (rel.)
15.81, 333
23.80, 1000
26.67, 380
28.71, 976
31.94, 312
35.81, 662
36.96, 330
48.72, 191
51.55, 314
54.95, 184